Entry 1:
# Zr3AlCo8
Theoretical PXRD pattern, a wavelength of 1.5418 Å. Input: a cell relaxed with PBE.
Lines closer than 0.1° are merged.

Atomic structure:
Lattice parameters (Å, degrees): 4.8516 4.8516 23.8021 90.00 90.00 120.00
Space group R3m (No. 160, hexagonal axes)
Inequivalent atoms, fractional coordinates:
Zr  0.0000  0.0000  0.0000 (multiplicity 3)
Zr  0.0000  0.0000  0.1283 (multiplicity 3)
Zr  0.0000  0.0000  0.6185 (multiplicity 3)
Al  0.0000  0.0000  0.4977 (multiplicity 3)
Co  0.0000  0.0000  0.3117 (multiplicity 3)
Co  0.0000  0.0000  0.8120 (multiplicity 3)
Co  0.0013  0.5006  0.5604 (multiplicity 9)
Co  0.0040  0.5020  0.0627 (multiplicity 9)

Largest 6 diffraction maxima, sorted by position, 10° ≤ 2θ ≤ 90°:
| h k l | Position (°2θ) | d_spacing | I (rel.) |
| --- | --- | --- | --- |
| 1 1 0 | 37.04 | 2.427 | 35 |
| 2 0 2 | 43.74 | 2.070 | 100 |
| 0 2 4 | 45.79 | 1.982 | 34 |
| 3 0 0 | 66.76 | 1.401 | 11 |
| 2 1 10 | 71.39 | 1.321 | 17 |
| 2 2 0 | 78.89 | 1.213 | 23 |

***

Entry 2:
# Ca2HoF7
Theoretical PXRD pattern, a wavelength of 1.5418 Å. Input: a cell relaxed with PBE.
Lines closer than 0.1° are merged.

Atomic structure:
Lattice parameters (Å, degrees): 7.781 3.685 30.336 90.00 95.96 90.00
Space group Cm (No. 8)
Inequivalent atoms, fractional coordinates:
Ca  0.000  0.000  0.000 (multiplicity 2)
Ca  0.009  0.500  0.874 (multiplicity 2)
Ca  0.050  0.000  0.543 (multiplicity 2)
Ca  0.121  0.500  0.422 (multiplicity 2)
Ca  0.134  0.500  0.665 (multiplicity 2)
Ca  0.216  0.000  0.787 (multiplicity 2)
Ho  0.350  0.000  0.327 (multiplicity 2)
Ho  0.414  0.500  0.218 (multiplicity 2)
Ho  0.477  0.000  0.110 (multiplicity 2)
F  0.003  0.500  0.265 (multiplicity 2)
F  0.035  0.500  0.782 (multiplicity 2)
F  0.038  0.500  0.941 (multiplicity 2)
F  0.060  0.000  0.156 (multiplicity 2)
F  0.060  0.000  0.468 (multiplicity 2)
F  0.099  0.500  0.045 (multiplicity 2)
F  0.136  0.500  0.590 (multiplicity 2)
F  0.143  0.500  0.345 (multiplicity 2)
F  0.187  0.000  0.866 (multiplicity 2)
F  0.191  0.000  0.240 (multiplicity 2)
F  0.218  0.000  0.712 (multiplicity 2)
F  0.248  0.500  0.133 (multiplicity 2)
F  0.290  0.000  0.993 (multiplicity 2)
F  0.308  0.000  0.407 (multiplicity 2)
F  0.350  0.500  0.290 (multiplicity 2)
F  0.354  0.000  0.533 (multiplicity 2)
F  0.363  0.500  0.826 (multiplicity 2)
F  0.398  0.000  0.182 (multiplicity 2)
F  0.427  0.500  0.071 (multiplicity 2)
F  0.437  0.500  0.655 (multiplicity 2)
F  0.472  0.500  0.372 (multiplicity 2)

Largest 6 diffraction maxima, sorted by position, 10° ≤ 2θ ≤ 90°:
| h k l | Position (°2θ) | d_spacing | I (rel.) |
| --- | --- | --- | --- |
| 2 0 1 | 23.48 | 3.789 | 72 |
| 0 0 9 | 26.59 | 3.352 | 65 |
| 1 1 -4 | 28.84 | 3.096 | 90 |
| 1 1 5 | 31.30 | 2.858 | 100 |
| 1 1 -13 | 46.72 | 1.944 | 94 |
| 0 2 0 | 49.49 | 1.842 | 47 |

***

Entry 3:
# HoMg3
Theoretical PXRD pattern, a wavelength of 1.5418 Å. Input: a cell relaxed with PBE.
Lines closer than 0.1° are merged.

Atomic structure:
Lattice parameters (Å, degrees): 6.6527 6.6527 5.1901 90.00 90.00 120.00
Space group P6_3/mmc (No. 194)
Inequivalent atoms, fractional coordinates:
Ho  0.3333  0.6667  0.2500 (multiplicity 2)
Mg  0.1635  0.3271  0.7500 (multiplicity 6)

Largest 6 diffraction maxima, sorted by position, 10° ≤ 2θ ≤ 90°:
| h k l | Position (°2θ) | d_spacing | I (rel.) |
| --- | --- | --- | --- |
| 1 0 0 | 15.38 | 5.761 | 39 |
| 1 0 1 | 23.06 | 3.856 | 100 |
| 1 1 0 | 26.80 | 3.326 | 45 |
| 0 0 2 | 34.56 | 2.595 | 24 |
| 2 0 1 | 35.65 | 2.519 | 100 |
| 2 1 1 | 45.15 | 2.008 | 33 |

***

Entry 4:
# KBi3
Theoretical PXRD pattern, a wavelength of 1.5418 Å. Input: a cell relaxed with PBE.
Lines closer than 0.1° are merged.

Atomic structure:
Lattice parameters (Å, degrees): 5.072 5.072 5.072 90.00 90.00 90.00
Space group Pm-3m (No. 221)
Inequivalent atoms, fractional coordinates:
K  0.000  0.000  0.000 (multiplicity 1)
Bi  0.000  0.500  0.500 (multiplicity 3)

Largest 6 diffraction maxima, sorted by position, 10° ≤ 2θ ≤ 90°:
| h k l | Position (°2θ) | d_spacing | I (rel.) |
| --- | --- | --- | --- |
| 1 1 1 | 30.53 | 2.929 | 100 |
| 2 0 0 | 35.39 | 2.536 | 51 |
| 2 2 0 | 50.92 | 1.793 | 37 |
| 3 1 1 | 60.54 | 1.529 | 44 |
| 3 3 1 | 82.98 | 1.164 | 19 |
| 4 2 0 | 85.64 | 1.134 | 18 |

***

Entry 5:
# Ba6LiNb2IrCl2O12
Theoretical PXRD pattern, a wavelength of 1.5418 Å. Input: a cell relaxed with PBE.
Lines closer than 0.1° are merged.

Atomic structure:
Lattice parameters (Å, degrees): 5.980 6.265 14.996 82.74 90.00 61.51
Space group P1 (No. 1)
Inequivalent atoms, fractional coordinates:
Ba  0.000  0.000  0.000 (multiplicity 1)
Ba  0.005  0.991  0.700 (multiplicity 1)
Ba  0.034  0.933  0.277 (multiplicity 1)
Ba  0.649  0.703  0.549 (multiplicity 1)
Ba  0.687  0.627  0.129 (multiplicity 1)
Ba  0.728  0.545  0.819 (multiplicity 1)
Li  0.539  0.921  0.918 (multiplicity 1)
Nb  0.326  0.349  0.100 (multiplicity 1)
Nb  0.357  0.286  0.729 (multiplicity 1)
Ir  0.324  0.352  0.917 (multiplicity 1)
Cl  0.023  0.955  0.492 (multiplicity 1)
Cl  0.664  0.671  0.341 (multiplicity 1)
O  0.003  0.537  0.989 (multiplicity 1)
O  0.035  0.425  0.663 (multiplicity 1)
O  0.144  0.210  0.166 (multiplicity 1)
O  0.170  0.663  0.150 (multiplicity 1)
O  0.202  0.598  0.803 (multiplicity 1)
O  0.205  0.148  0.844 (multiplicity 1)
O  0.461  0.537  0.989 (multiplicity 1)
O  0.471  0.055  0.023 (multiplicity 1)
O  0.518  0.964  0.688 (multiplicity 1)
O  0.542  0.424  0.663 (multiplicity 1)
O  0.646  0.148  0.844 (multiplicity 1)
O  0.648  0.208  0.165 (multiplicity 1)

Largest 6 diffraction maxima, sorted by position, 10° ≤ 2θ ≤ 90°:
| h k l | Position (°2θ) | d_spacing | I (rel.) |
| --- | --- | --- | --- |
| 0 1 4 | 27.06 | 3.295 | 36 |
| 1 2 0 | 28.76 | 3.105 | 100 |
| 2 1 0 | 29.87 | 2.991 | 65 |
| 1 0 4 | 30.47 | 2.934 | 45 |
| 2 0 3 | 40.02 | 2.253 | 26 |
| 2 2 4 | 40.75 | 2.214 | 25 |

***

Entry 6:
# Mg2Si
Theoretical PXRD pattern, a wavelength of 1.5418 Å. Input: a cell relaxed with PBE.
Lines closer than 0.1° are merged.

Atomic structure:
Lattice parameters (Å, degrees): 5.514 6.183 7.540 85.72 71.40 83.69
Space group P-1 (No. 2)
Inequivalent atoms, fractional coordinates:
Mg  0.176  0.076  0.134 (multiplicity 2)
Mg  0.197  0.580  0.102 (multiplicity 2)
Mg  0.230  0.133  0.518 (multiplicity 2)
Mg  0.236  0.625  0.549 (multiplicity 2)
Si  0.359  0.894  0.797 (multiplicity 2)
Si  0.383  0.297  0.792 (multiplicity 2)

Largest 6 diffraction maxima, sorted by position, 10° ≤ 2θ ≤ 90°:
| h k l | Position (°2θ) | d_spacing | I (rel.) |
| --- | --- | --- | --- |
| 0 2 -1 | 32.22 | 2.778 | 57 |
| 2 0 0 | 34.46 | 2.602 | 58 |
| 1 0 -2 | 34.64 | 2.590 | 52 |
| 2 0 2 | 35.76 | 2.511 | 91 |
| 1 2 2 | 36.91 | 2.435 | 88 |
| 0 0 3 | 37.81 | 2.379 | 100 |

***

Entry 7:
# Cs3Tl2Br9
Theoretical PXRD pattern, a wavelength of 1.5418 Å. Input: a cell relaxed with PBE.
Lines closer than 0.1° are merged.

Atomic structure:
Lattice parameters (Å, degrees): 8.0416 8.0416 9.8416 90.00 90.00 120.00
Space group P-3m1 (No. 164)
Inequivalent atoms, fractional coordinates:
Cs  0.0000  0.0000  0.0000 (multiplicity 1)
Cs  0.3333  0.6667  0.6638 (multiplicity 2)
Tl  0.3333  0.6667  0.1884 (multiplicity 2)
Br  0.0000  0.5000  0.0000 (multiplicity 3)
Br  0.1661  0.3322  0.3258 (multiplicity 6)

Largest 6 diffraction maxima, sorted by position, 10° ≤ 2θ ≤ 90°:
| h k l | Position (°2θ) | d_spacing | I (rel.) |
| --- | --- | --- | --- |
| 1 1 0 | 22.11 | 4.020 | 61 |
| 0 0 3 | 27.17 | 3.282 | 51 |
| 2 0 2 | 31.47 | 2.842 | 100 |
| 3 0 0 | 38.80 | 2.321 | 30 |
| 2 2 0 | 45.11 | 2.010 | 74 |
| 4 2 2 | 74.67 | 1.271 | 30 |

***

Entry 8:
# LiZr2O4
Theoretical PXRD pattern, a wavelength of 1.5418 Å. Input: a cell relaxed with PBE.
Lines closer than 0.1° are merged.

Atomic structure:
Lattice parameters (Å, degrees): 10.867 6.104 5.166 90.00 90.00 90.00
Space group Pnma (No. 62)
Inequivalent atoms, fractional coordinates:
Li  0.102  0.250  0.059 (multiplicity 4)
Zr  0.000  0.000  0.500 (multiplicity 4)
Zr  0.221  0.750  0.022 (multiplicity 4)
O  0.064  0.750  0.785 (multiplicity 4)
O  0.105  0.250  0.703 (multiplicity 4)
O  0.171  0.013  0.270 (multiplicity 8)

Largest 6 diffraction maxima, sorted by position, 10° ≤ 2θ ≤ 90°:
| h k l | Position (°2θ) | d_spacing | I (rel.) |
| --- | --- | --- | --- |
| 1 0 1 | 19.02 | 4.666 | 58 |
| 1 1 1 | 24.01 | 3.707 | 100 |
| 3 0 1 | 30.13 | 2.966 | 59 |
| 2 2 0 | 33.65 | 2.663 | 77 |
| 1 2 1 | 35.14 | 2.554 | 56 |
| 2 2 2 | 49.16 | 1.853 | 66 |